This entry pairs a crystal structure of Ca4Al6WO16 with its calculated XRD peak list. Radiation: Cu Kα, 1.54184 Å. Structure: a DFT-relaxed cell (GGA+U, the Materials Project).

Peak list (10 most intense, 2θ from 5° to 70°, most intense first)
- 2θ = 23.09°, I = 100, hkl 1 3 1
- 2θ = 24.10°, I = 72, hkl 0 2 2
- 2θ = 13.65°, I = 37, hkl 1 1 1
- 2θ = 27.51°, I = 23, hkl 2 2 2
- 2θ = 40.14°, I = 21, hkl 3 5 1
- 2θ = 41.79°, I = 17, hkl 3 3 3
- 2θ = 37.11°, I = 17, hkl 1 3 3
- 2θ = 35.29°, I = 16, hkl 1 5 1
- 2θ = 37.56°, I = 15, hkl 4 4 0
- 2θ = 35.98°, I = 15, hkl 2 4 2

Atomic structure:
```
data_Ca4Al6WO16
_cell_length_a 13.549
_cell_length_b 13.541
_cell_length_c 8.813
_cell_angle_alpha 90.00
_cell_angle_beta 90.00
_cell_angle_gamma 90.00
_space_group_name_H-M_alt 'A e m 2'
_space_group_IT_number 39
_space_group_name_Hall 'A 2 -2b'
loop_
_atom_site_label
_atom_site_fract_x
_atom_site_fract_y
_atom_site_fract_z
_atom_site_occupancy
Ca1 0.017 0.250 0.000 1
Ca2 0.247 0.032 0.579 1
Ca3 0.455 0.250 0.945 1
Al1 0.000 0.000 0.036 1
Al2 0.131 0.127 0.285 1
Al3 0.376 0.127 0.263 1
Al4 0.500 0.000 0.012 1
W1 0.230 0.250 0.783 1
O1 0.066 0.100 0.453 1
O2 0.102 0.058 0.124 1
O3 0.104 0.250 0.239 1
O4 0.115 0.167 0.787 1
O5 0.255 0.098 0.327 1
O6 0.315 0.145 0.767 1
O7 0.395 0.049 0.105 1
O8 0.400 0.250 0.201 1
O9 0.456 0.107 0.416 1
```